The following is a calculated X-ray powder pattern of La2P4O13. It was derived from the GGA-PBE geometry in the Materials Project, using Cu Kα.
Peak positions follow from Bragg's law for the DFT cell and can differ from measured ones.

The 10 most intense peaks (10° ≤ 2θ ≤ 80°), most intense first:
2θ 29.4, I = 100
2θ 15.0, I = 77
2θ 25.2, I = 62
2θ 25.9, I = 60
2θ 13.7, I = 57
2θ 18.6, I = 56
2θ 29.5, I = 49
2θ 23.0, I = 38
2θ 40.3, I = 33
2θ 47.1, I = 31

Crystal structure
```
data_La2P4O13
_chemical_formula_sum 'La4 P8 O26'
_symmetry_space_group_name_H-M 'P 1'
_symmetry_Int_Tables_number 1
_cell_length_a 7.074
_cell_length_b 7.074
_cell_length_c 13.461
_cell_angle_alpha 103.62
_cell_angle_beta 103.62
_cell_angle_gamma 59.86
loop_
_symmetry_equiv_pos_as_xyz
'x,y,z'
loop_
_atom_site_label
_atom_site_type_symbol
_atom_site_fract_x
_atom_site_fract_y
_atom_site_fract_z
_atom_site_occupancy
La1 La 0.185 0.189 0.051 1
La2 La 0.189 0.185 0.551 1
La3 La 0.811 0.815 0.449 1
La4 La 0.815 0.811 0.949 1
P1 P 0.261 0.275 0.341 1
P2 P 0.275 0.261 0.841 1
P3 P 0.349 0.633 0.138 1
P4 P 0.367 0.651 0.362 1
P5 P 0.633 0.349 0.638 1
P6 P 0.651 0.367 0.862 1
P7 P 0.725 0.739 0.159 1
P8 P 0.739 0.725 0.659 1
O1 O 0.069 0.423 0.405 1
O2 O 0.082 0.422 0.902 1
O3 O 0.188 0.809 0.068 1
O4 O 0.191 0.812 0.432 1
O5 O 0.195 0.208 0.229 1
O6 O 0.208 0.195 0.729 1
O7 O 0.269 0.731 0.250 1
O8 O 0.379 0.403 0.106 1
O9 O 0.395 0.408 0.345 1
O10 O 0.403 0.379 0.606 1
O11 O 0.408 0.395 0.845 1
O12 O 0.422 0.082 0.402 1
O13 O 0.423 0.069 0.905 1
O14 O 0.577 0.931 0.095 1
O15 O 0.578 0.918 0.598 1
O16 O 0.592 0.605 0.155 1
O17 O 0.597 0.621 0.394 1
O18 O 0.605 0.592 0.655 1
O19 O 0.621 0.597 0.894 1
O20 O 0.731 0.269 0.750 1
O21 O 0.792 0.805 0.271 1
O22 O 0.805 0.792 0.771 1
O23 O 0.809 0.188 0.568 1
O24 O 0.812 0.191 0.932 1
O25 O 0.918 0.578 0.098 1
O26 O 0.931 0.577 0.595 1
```